Record 1
The following is a simulated PXRD pattern of Sr3MoO6. It was derived from DFT lattice parameters and positions (PBE+U), using λ = 1.5418 Å (Cu Kα).
Neutral-atom scattering factors, no anomalous dispersion.

abc: 6.074 6.074 6.074
angles: 60.00 60.00 60.00
Fractional coordinates of all 10 atoms:
Sr1 0.000 0.000 0.000
Sr2 0.250 0.250 0.250
Sr3 0.750 0.750 0.750
Mo1 0.500 0.500 0.500
O1 0.274 0.274 0.726
O2 0.274 0.726 0.274
O3 0.274 0.726 0.726
O4 0.726 0.274 0.274
O5 0.726 0.274 0.726
O6 0.726 0.726 0.274

Most intense lines, 10° ≤ 2θ ≤ 80°, in order of falling intensity:
2θ = 29.41°, rel. 100
2θ = 52.16°, rel. 39
2θ = 42.07°, rel. 35
2θ = 61.01°, rel. 21
2θ = 69.16°, rel. 19
2θ = 76.89°, rel. 7
2θ = 20.68°, rel. 3
2θ = 36.22°, rel. 3
2θ = 17.88°, rel. 2
2θ = 47.32°, rel. 1


Record 2
The following is a simulated PXRD pattern of Sr3Mo2O7. It was derived from DFT lattice parameters and positions (PBE+U), using λ = 1.5418 Å (Cu Kα).
Neutral-atom scattering factors, no anomalous dispersion.

abc: 11.035 11.035 11.035
angles: 158.97 158.97 29.92
Fractional coordinates of all 12 atoms:
Sr1 0.000 0.000 0.000
Sr2 0.189 0.189 0.000
Sr3 0.811 0.811 0.000
Mo1 0.401 0.401 0.000
Mo2 0.599 0.599 0.000
O1 0.097 0.597 0.500
O2 0.302 0.302 0.000
O3 0.403 0.903 0.500
O4 0.500 0.500 0.000
O5 0.597 0.097 0.500
O6 0.698 0.698 0.000
O7 0.903 0.403 0.500

Most intense lines, 10° ≤ 2θ ≤ 80°, in order of falling intensity:
2θ = 30.53°, rel. 100
2θ = 31.41°, rel. 58
2θ = 55.36°, rel. 38
2θ = 45.01°, rel. 34
2θ = 53.70°, rel. 20
2θ = 63.54°, rel. 19
2θ = 42.39°, rel. 18
2θ = 65.54°, rel. 10
2θ = 74.48°, rel. 9
2θ = 74.02°, rel. 8


Record 3
The following is a simulated PXRD pattern of SrMo5O8. It was derived from DFT lattice parameters and positions (PBE+U), using λ = 1.5418 Å (Cu Kα).
Neutral-atom scattering factors, no anomalous dispersion.

abc: 8.409 9.548 10.810
angles: 90.00 109.75 90.00
Fractional coordinates of all 56 atoms:
Sr1 0.216 0.022 0.468
Sr2 0.216 0.478 0.968
Sr3 0.784 0.522 0.032
Sr4 0.784 0.978 0.532
Mo1 0.090 0.133 0.809
Mo2 0.090 0.367 0.309
Mo3 0.104 0.643 0.481
Mo4 0.104 0.857 0.981
Mo5 0.293 0.639 0.273
Mo6 0.293 0.861 0.773
Mo7 0.306 0.130 0.135
Mo8 0.306 0.370 0.635
Mo9 0.492 0.145 0.913
Mo10 0.492 0.355 0.413
Mo11 0.508 0.645 0.587
Mo12 0.508 0.855 0.087
Mo13 0.694 0.630 0.365
Mo14 0.694 0.870 0.865
Mo15 0.707 0.139 0.227
Mo16 0.707 0.361 0.727
Mo17 0.896 0.143 0.019
Mo18 0.896 0.357 0.519
Mo19 0.910 0.633 0.691
Mo20 0.910 0.867 0.191
O1 0.090 0.501 0.636
O2 0.090 0.999 0.136
O3 0.104 0.242 0.990
O4 0.104 0.258 0.490
O5 0.109 0.510 0.163
O6 0.109 0.990 0.663
O7 0.126 0.733 0.823
O8 0.126 0.767 0.323
O9 0.289 0.229 0.305
O10 0.289 0.271 0.805
O11 0.306 0.730 0.100
O12 0.306 0.770 0.600
O13 0.477 0.504 0.259
O14 0.477 0.996 0.759
O15 0.498 0.744 0.406
O16 0.498 0.756 0.906
O17 0.502 0.244 0.094
O18 0.502 0.256 0.594
O19 0.523 0.004 0.241
O20 0.523 0.496 0.741
O21 0.694 0.230 0.400
O22 0.694 0.270 0.900
O23 0.711 0.729 0.195
O24 0.711 0.771 0.695
O25 0.874 0.233 0.677
O26 0.874 0.267 0.177
O27 0.891 0.010 0.337
O28 0.891 0.490 0.837
O29 0.896 0.742 0.510
O30 0.896 0.758 0.010
O31 0.910 0.001 0.864
O32 0.910 0.499 0.364

Most intense lines, 10° ≤ 2θ ≤ 80°, in order of falling intensity:
2θ = 29.40°, rel. 100
2θ = 31.19°, rel. 82
2θ = 32.81°, rel. 79
2θ = 12.71°, rel. 76
2θ = 28.37°, rel. 44
2θ = 34.50°, rel. 43
2θ = 58.25°, rel. 40
2θ = 33.89°, rel. 37
2θ = 43.91°, rel. 36
2θ = 32.54°, rel. 32


Record 4
The following is a simulated PXRD pattern of SrUMo4O16. It was derived from DFT lattice parameters and positions (PBE+U), using λ = 1.5418 Å (Cu Kα).
Neutral-atom scattering factors, no anomalous dispersion.

abc: 8.642 6.842 14.454
angles: 90.00 126.09 90.00
Fractional coordinates of all 44 atoms:
Sr1 0.000 0.196 0.250
Sr2 0.000 0.804 0.750
U1 0.500 0.197 0.250
U2 0.500 0.803 0.750
Mo1 0.203 0.335 0.906
Mo2 0.203 0.665 0.406
Mo3 0.298 0.335 0.596
Mo4 0.298 0.665 0.096
Mo5 0.702 0.335 0.904
Mo6 0.702 0.665 0.404
Mo7 0.797 0.335 0.594
Mo8 0.797 0.665 0.094
O1 0.000 0.428 0.750
O2 0.000 0.572 0.250
O3 0.100 0.344 0.598
O4 0.100 0.656 0.098
O5 0.142 0.088 0.881
O6 0.142 0.912 0.381
O7 0.191 0.358 0.441
O8 0.191 0.642 0.941
O9 0.293 0.201 0.254
O10 0.293 0.799 0.754
O11 0.316 0.350 0.069
O12 0.316 0.650 0.569
O13 0.372 0.083 0.630
O14 0.372 0.917 0.130
O15 0.402 0.349 0.903
O16 0.402 0.651 0.403
O17 0.500 0.443 0.750
O18 0.500 0.557 0.250
O19 0.598 0.349 0.597
O20 0.598 0.651 0.097
O21 0.628 0.083 0.870
O22 0.628 0.917 0.370
O23 0.684 0.350 0.431
O24 0.684 0.650 0.931
O25 0.707 0.201 0.246
O26 0.707 0.799 0.746
O27 0.809 0.358 0.059
O28 0.809 0.642 0.559
O29 0.858 0.088 0.619
O30 0.858 0.912 0.119
O31 0.900 0.344 0.902
O32 0.900 0.656 0.402

Most intense lines, 10° ≤ 2θ ≤ 80°, in order of falling intensity:
2θ = 20.56°, rel. 100
2θ = 26.34°, rel. 97
2θ = 27.16°, rel. 32
2θ = 33.48°, rel. 28
2θ = 26.05°, rel. 22
2θ = 33.80°, rel. 19
2θ = 46.65°, rel. 19
2θ = 25.48°, rel. 19
2θ = 34.36°, rel. 18
2θ = 25.78°, rel. 17


Record 5
The following is a simulated PXRD pattern of Sr2VMoO6. It was derived from DFT lattice parameters and positions (PBE+U), using λ = 1.5418 Å (Cu Kα).
Neutral-atom scattering factors, no anomalous dispersion.

abc: 5.673 5.706 7.915
angles: 89.99 90.00 89.93
Fractional coordinates of all 20 atoms:
Sr1 0.000 0.003 0.231
Sr2 0.000 0.997 0.769
Sr3 0.500 0.497 0.231
Sr4 0.500 0.503 0.769
V1 0.000 0.500 0.000
V2 0.500 0.000 0.000
Mo1 0.000 0.500 0.500
Mo2 0.500 0.000 0.500
O1 0.003 0.452 0.762
O2 0.249 0.249 0.462
O3 0.250 0.250 0.023
O4 0.250 0.750 0.980
O5 0.251 0.749 0.533
O6 0.497 0.048 0.762
O7 0.503 0.952 0.238
O8 0.749 0.251 0.467
O9 0.750 0.250 0.020
O10 0.750 0.750 0.977
O11 0.751 0.751 0.538
O12 0.997 0.548 0.238

Most intense lines, 10° ≤ 2θ ≤ 80°, in order of falling intensity:
2θ = 31.72°, rel. 100
2θ = 45.07°, rel. 38
2θ = 31.54°, rel. 26
2θ = 31.36°, rel. 25
2θ = 56.04°, rel. 21
2θ = 56.28°, rel. 19
2θ = 66.26°, rel. 18
2θ = 45.86°, rel. 15
2θ = 74.75°, rel. 13
2θ = 24.83°, rel. 10


Record 6
The following is a simulated PXRD pattern of Sr2VMoO6. It was derived from DFT lattice parameters and positions (PBE+U), using λ = 1.5418 Å (Cu Kα).
Neutral-atom scattering factors, no anomalous dispersion.

abc: 8.978 8.968 5.667
angles: 71.69 71.50 36.81
Fractional coordinates of all 20 atoms:
Sr1 0.000 0.000 0.500
Sr2 0.230 0.230 0.270
Sr3 0.500 0.500 0.000
Sr4 0.730 0.730 0.770
V1 0.115 0.115 0.885
V2 0.615 0.615 0.385
Mo1 0.365 0.365 0.635
Mo2 0.865 0.865 0.135
O1 0.115 0.616 0.384
O2 0.125 0.605 0.875
O3 0.239 0.239 0.761
O4 0.352 0.878 0.648
O5 0.365 0.865 0.135
O6 0.491 0.491 0.509
O7 0.605 0.125 0.395
O8 0.616 0.115 0.885
O9 0.739 0.739 0.261
O10 0.865 0.365 0.635
O11 0.878 0.352 0.122
O12 0.991 0.991 0.009

Most intense lines, 10° ≤ 2θ ≤ 80°, in order of falling intensity:
2θ = 31.56°, rel. 100
2θ = 45.15°, rel. 24
2θ = 56.14°, rel. 24
2θ = 65.95°, rel. 14
2θ = 56.30°, rel. 12
2θ = 45.40°, rel. 12
2θ = 74.74°, rel. 8
2θ = 65.76°, rel. 7
2θ = 38.91°, rel. 7
2θ = 75.16°, rel. 6


Record 7
The following is a simulated PXRD pattern of Sr2VMoO6. It was derived from DFT lattice parameters and positions (PBE+U), using λ = 1.5418 Å (Cu Kα).
Neutral-atom scattering factors, no anomalous dispersion.

abc: 5.641 5.641 4.021
angles: 90.00 90.00 90.24
Fractional coordinates of all 10 atoms:
Sr1 0.000 0.500 0.000
Sr2 0.500 0.000 0.000
V1 0.000 0.000 0.500
Mo1 0.500 0.500 0.500
O1 0.000 0.000 0.000
O2 0.237 0.237 0.500
O3 0.250 0.750 0.500
O4 0.500 0.500 0.000
O5 0.750 0.250 0.500
O6 0.763 0.763 0.500

Most intense lines, 10° ≤ 2θ ≤ 80°, in order of falling intensity:
2θ = 31.60°, rel. 100
2θ = 31.73°, rel. 50
2θ = 56.19°, rel. 19
2θ = 56.37°, rel. 19
2θ = 56.50°, rel. 19
2θ = 45.10°, rel. 19
2θ = 45.38°, rel. 18
2θ = 45.58°, rel. 18
2θ = 65.90°, rel. 11
2θ = 66.06°, rel. 11


Record 8
The following is a simulated PXRD pattern of Sr2VMoO6. It was derived from DFT lattice parameters and positions (PBE+U), using λ = 1.5418 Å (Cu Kα).
Neutral-atom scattering factors, no anomalous dispersion.

abc: 6.944 6.944 5.654
angles: 90.06 90.06 71.04
Fractional coordinates of all 20 atoms:
Sr1 0.247 0.753 0.000
Sr2 0.498 0.997 0.495
Sr3 0.753 0.247 0.000
Sr4 0.997 0.498 0.495
V1 0.249 0.249 0.998
V2 0.750 0.750 0.996
Mo1 0.498 0.498 0.499
Mo2 0.998 0.998 0.499
O1 0.122 0.122 0.250
O2 0.125 0.125 0.751
O3 0.253 0.744 0.497
O4 0.373 0.373 0.244
O5 0.377 0.377 0.739
O6 0.507 0.987 0.001
O7 0.622 0.622 0.254
O8 0.625 0.625 0.751
O9 0.744 0.253 0.497
O10 0.870 0.870 0.248
O11 0.872 0.872 0.753
O12 0.987 0.507 0.001

Most intense lines, 10° ≤ 2θ ≤ 80°, in order of falling intensity:
2θ = 31.51°, rel. 100
2θ = 31.66°, rel. 49
2θ = 56.29°, rel. 38
2θ = 45.38°, rel. 36
2θ = 65.77°, rel. 22
2θ = 56.00°, rel. 19
2θ = 44.93°, rel. 19
2θ = 66.12°, rel. 11
2θ = 38.90°, rel. 10
2θ = 74.43°, rel. 8


Record 9
The following is a simulated PXRD pattern of Sr2VMoO6. It was derived from DFT lattice parameters and positions (PBE+U), using λ = 1.5418 Å (Cu Kα).
Neutral-atom scattering factors, no anomalous dispersion.

abc: 5.660 5.660 8.007
angles: 90.00 90.00 90.00
Fractional coordinates of all 20 atoms:
Sr1 0.000 0.500 0.250
Sr2 0.000 0.500 0.750
Sr3 0.500 0.000 0.250
Sr4 0.500 0.000 0.750
V1 0.000 0.000 0.000
V2 0.000 0.000 0.500
Mo1 0.500 0.500 0.000
Mo2 0.500 0.500 0.500
O1 0.000 0.000 0.239
O2 0.000 0.000 0.761
O3 0.239 0.239 0.000
O4 0.239 0.761 0.000
O5 0.249 0.249 0.500
O6 0.249 0.751 0.500
O7 0.500 0.500 0.258
O8 0.500 0.500 0.742
O9 0.751 0.249 0.500
O10 0.751 0.751 0.500
O11 0.761 0.239 0.000
O12 0.761 0.761 0.000

Most intense lines, 10° ≤ 2θ ≤ 80°, in order of falling intensity:
2θ = 31.61°, rel. 100
2θ = 56.30°, rel. 38
2θ = 45.31°, rel. 37
2θ = 66.02°, rel. 21
2θ = 75.04°, rel. 17
2θ = 38.97°, rel. 7
2θ = 15.66°, rel. 4
2θ = 27.29°, rel. 2
2θ = 42.24°, rel. 2
2θ = 79.40°, rel. 2


Record 10
The following is a simulated PXRD pattern of Sr2VMoO6. It was derived from DFT lattice parameters and positions (PBE+U), using λ = 1.5418 Å (Cu Kα).
Neutral-atom scattering factors, no anomalous dispersion.

abc: 4.042 4.042 7.839
angles: 90.00 90.00 90.00
Fractional coordinates of all 10 atoms:
Sr1 0.000 0.000 0.235
Sr2 0.000 0.000 0.765
V1 0.500 0.500 0.000
Mo1 0.500 0.500 0.500
O1 0.000 0.500 0.000
O2 0.000 0.500 0.500
O3 0.500 0.000 0.000
O4 0.500 0.000 0.500
O5 0.500 0.500 0.241
O6 0.500 0.500 0.759

Most intense lines, 10° ≤ 2θ ≤ 80°, in order of falling intensity:
2θ = 31.80°, rel. 100
2θ = 31.30°, rel. 53
2θ = 56.03°, rel. 40
2θ = 44.85°, rel. 39
2θ = 66.46°, rel. 21
2θ = 56.98°, rel. 17
2θ = 46.33°, rel. 17
2θ = 65.30°, rel. 12
2θ = 39.00°, rel. 10
2θ = 74.19°, rel. 9


Which formula does entry 6 have?
Sr2VMoO6


What is the formula in the fourth record?
SrUMo4O16